The following is a simulated PXRD pattern of ZnIn4Hg7. It was derived from a GGA-PBE-relaxed structure, using Cu Kα.
Neutral-atom scattering factors, no anomalous dispersion.

a = 4.875 Å, b = 4.875 Å, c = 15.229 Å
α = 90.00°, β = 90.00°, γ = 120.00°
Positions (direct):
Zn 0.000 0.000 0.000
In 0.333 0.667 0.158
In 0.333 0.667 0.413
In 0.667 0.333 0.587
In 0.667 0.333 0.842
Hg 0.000 0.000 0.241
Hg 0.000 0.000 0.500
Hg 0.000 0.000 0.759
Hg 0.333 0.667 0.671
Hg 0.333 0.667 0.934
Hg 0.667 0.333 0.066
Hg 0.667 0.333 0.329

Largest 8 diffraction maxima, low angle first, 2θ from 5° to 70°:
- d 3.246, 2θ 27.48, intensity 10
- d 2.827, 2θ 31.65, intensity 100
- d 2.437, 2θ 36.88, intensity 71
- d 1.846, 2θ 49.37, intensity 29
- d 1.735, 2θ 52.75, intensity 21
- d 1.472, 2θ 63.18, intensity 28
- d 1.414, 2θ 66.09, intensity 11
- d 1.407, 2θ 66.44, intensity 13

---

The following is a simulated PXRD pattern of Ga4BiSb2Te. It was derived from a GGA-PBE-relaxed structure, using Cu Kα.
Neutral-atom scattering factors, no anomalous dispersion.

a = 7.822 Å, b = 7.818 Å, c = 6.382 Å
α = 65.95°, β = 65.88°, γ = 48.17°
Positions (direct):
Ga 0.250 0.750 0.250
Ga 0.490 0.990 0.510
Ga 0.750 0.250 0.750
Ga 0.990 0.490 0.010
Bi 0.370 0.370 0.630
Sb 0.120 0.120 0.380
Sb 0.620 0.620 0.880
Te 0.870 0.870 0.130

Largest 8 diffraction maxima, low angle first, 2θ from 5° to 70°:
- d 5.709, 2θ 15.52, intensity 4
- d 3.686, 2θ 24.15, intensity 100
- d 3.192, 2θ 27.95, intensity 10
- d 2.257, 2θ 39.95, intensity 73
- d 1.925, 2θ 47.22, intensity 49
- d 1.596, 2θ 57.77, intensity 12
- d 1.465, 2θ 63.52, intensity 20
- d 1.427, 2θ 65.38, intensity 4

---

The following is a simulated PXRD pattern of Be2H2F7. It was derived from a GGA-PBE-relaxed structure, using Cu Kα.
Neutral-atom scattering factors, no anomalous dispersion.

a = 6.836 Å, b = 6.836 Å, c = 7.079 Å
α = 104.18°, β = 104.18°, γ = 108.79°
Positions (direct):
Be 0.116 0.312 0.333
Be 0.312 0.116 0.833
Be 0.688 0.884 0.167
Be 0.884 0.688 0.667
H 0.190 0.370 0.031
H 0.370 0.190 0.531
H 0.630 0.810 0.469
H 0.810 0.630 0.969
F 0.101 0.899 0.750
F 0.130 0.420 0.164
F 0.141 0.483 0.543
F 0.252 0.320 0.896
F 0.320 0.252 0.396
F 0.420 0.130 0.664
F 0.483 0.141 0.043
F 0.517 0.859 0.957
F 0.580 0.870 0.336
F 0.680 0.748 0.604
F 0.748 0.680 0.104
F 0.859 0.517 0.457
F 0.870 0.580 0.836
F 0.899 0.101 0.250

Largest 8 diffraction maxima, low angle first, 2θ from 5° to 70°:
- d 5.474, 2θ 16.19, intensity 36
- d 4.203, 2θ 21.14, intensity 64
- d 3.611, 2θ 24.66, intensity 100
- d 3.371, 2θ 26.44, intensity 26
- d 2.728, 2θ 32.83, intensity 22
- d 2.559, 2θ 35.07, intensity 30
- d 2.353, 2θ 38.26, intensity 23
- d 2.107, 2θ 42.93, intensity 34

---

The following is a simulated PXRD pattern of Na8B11C5. It was derived from a GGA-PBE-relaxed structure, using Cu Kα.
Neutral-atom scattering factors, no anomalous dispersion.

a = 17.386 Å, b = 17.386 Å, c = 17.386 Å
α = 170.73°, β = 19.43°, γ = 162.97°
Positions (direct):
Na 0.063 0.000 0.063
Na 0.190 0.002 0.188
Na 0.311 0.000 0.311
Na 0.437 0.000 0.437
Na 0.562 0.000 0.563
Na 0.689 0.000 0.689
Na 0.813 0.002 0.812
Na 0.937 0.000 0.937
B 0.054 0.679 0.374
B 0.079 0.329 0.750
B 0.153 0.653 0.500
B 0.305 0.679 0.626
B 0.362 0.362 0.000
B 0.512 0.637 0.874
B 0.579 0.329 0.250
B 0.722 0.347 0.374
B 0.763 0.637 0.126
B 0.820 0.320 0.500
B 0.973 0.347 0.626
C 0.210 0.336 0.874
C 0.415 0.665 0.750
C 0.462 0.336 0.126
C 0.663 0.663 0.000
C 0.915 0.665 0.250

Largest 8 diffraction maxima, low angle first, 2θ from 5° to 70°:
- d 2.575, 2θ 34.85, intensity 8
- d 2.467, 2θ 36.42, intensity 12
- d 2.207, 2θ 40.89, intensity 37
- d 2.139, 2θ 42.25, intensity 100
- d 1.647, 2θ 55.83, intensity 4
- d 1.618, 2θ 56.93, intensity 7
- d 1.465, 2θ 63.51, intensity 13
- d 1.405, 2θ 66.53, intensity 6

---

The following is a simulated PXRD pattern of Ac2Nd3Te8. It was derived from a GGA-PBE-relaxed structure, using Cu Kα.
Neutral-atom scattering factors, no anomalous dispersion.

a = 9.277 Å, b = 9.277 Å, c = 7.853 Å
α = 106.39°, β = 106.39°, γ = 59.51°
Positions (direct):
Ac 0.242 0.242 0.164
Ac 0.758 0.758 0.836
Nd 0.240 0.760 0.500
Nd 0.500 0.500 0.000
Nd 0.760 0.240 0.500
Te 0.125 0.125 0.437
Te 0.142 0.623 0.090
Te 0.377 0.858 0.910
Te 0.384 0.384 0.584
Te 0.616 0.616 0.416
Te 0.623 0.142 0.090
Te 0.858 0.377 0.910
Te 0.875 0.875 0.563

Largest 8 diffraction maxima, low angle first, 2θ from 5° to 70°:
- d 5.001, 2θ 17.73, intensity 45
- d 4.408, 2θ 20.15, intensity 33
- d 3.751, 2θ 23.72, intensity 34
- d 2.998, 2θ 29.80, intensity 100
- d 2.978, 2θ 30.00, intensity 47
- d 2.522, 2θ 35.60, intensity 62
- d 2.302, 2θ 39.13, intensity 36
- d 2.276, 2θ 39.60, intensity 69

---

The following is a simulated PXRD pattern of Ho6IrO12. It was derived from a GGA-PBE-relaxed structure, using Cu Kα.
Neutral-atom scattering factors, no anomalous dispersion.

a = 6.448 Å, b = 6.448 Å, c = 6.448 Å
α = 98.66°, β = 98.66°, γ = 98.66°
Positions (direct):
Ho 0.111 0.815 0.644
Ho 0.185 0.356 0.889
Ho 0.356 0.889 0.185
Ho 0.644 0.111 0.815
Ho 0.815 0.644 0.111
Ho 0.889 0.185 0.356
Ir 0.500 0.500 0.500
O 0.067 0.909 0.323
O 0.091 0.677 0.933
O 0.201 0.428 0.536
O 0.323 0.067 0.909
O 0.428 0.536 0.201
O 0.464 0.799 0.572
O 0.536 0.201 0.428
O 0.572 0.464 0.799
O 0.677 0.933 0.091
O 0.799 0.572 0.464
O 0.909 0.323 0.067
O 0.933 0.091 0.677

Largest 8 diffraction maxima, low angle first, 2θ from 5° to 70°:
- d 3.112, 2θ 28.69, intensity 31
- d 3.029, 2θ 29.49, intensity 100
- d 2.640, 2θ 33.95, intensity 46
- d 1.886, 2θ 48.25, intensity 26
- d 1.849, 2θ 49.29, intensity 27
- d 1.613, 2θ 57.10, intensity 11
- d 1.589, 2θ 58.03, intensity 24
- d 1.578, 2θ 58.49, intensity 13

---

The following is a simulated PXRD pattern of CuSn3Au3. It was derived from a GGA-PBE-relaxed structure, using Cu Kα.
Neutral-atom scattering factors, no anomalous dispersion.

a = 9.217 Å, b = 9.217 Å, c = 11.784 Å
α = 90.00°, β = 90.00°, γ = 37.93°
Positions (direct):
Cu 0.076 0.076 0.000
Cu 0.424 0.424 0.500
Cu 0.576 0.576 0.500
Cu 0.924 0.924 0.000
Sn 0.070 0.580 0.130
Sn 0.080 0.570 0.630
Sn 0.221 0.779 0.834
Sn 0.279 0.721 0.334
Sn 0.420 0.930 0.130
Sn 0.430 0.920 0.630
Sn 0.570 0.080 0.370
Sn 0.580 0.070 0.870
Sn 0.721 0.279 0.666
Sn 0.779 0.221 0.166
Sn 0.920 0.430 0.370
Sn 0.930 0.420 0.870
Au 0.059 0.615 0.375
Au 0.115 0.559 0.875
Au 0.164 0.836 0.601
Au 0.336 0.664 0.101
Au 0.385 0.941 0.375
Au 0.441 0.885 0.875
Au 0.559 0.115 0.125
Au 0.615 0.059 0.625
Au 0.664 0.336 0.899
Au 0.836 0.164 0.399
Au 0.885 0.441 0.125
Au 0.941 0.385 0.625

Largest 8 diffraction maxima, low angle first, 2θ from 5° to 70°:
- d 3.404, 2θ 26.18, intensity 33
- d 2.995, 2θ 29.83, intensity 79
- d 2.946, 2θ 30.34, intensity 85
- d 2.906, 2θ 30.77, intensity 100
- d 2.100, 2θ 43.07, intensity 71
- d 2.086, 2θ 43.38, intensity 89
- d 2.069, 2θ 43.76, intensity 84
- d 1.702, 2θ 53.86, intensity 53

---

The following is a simulated PXRD pattern of SrCa3P3. It was derived from a GGA-PBE-relaxed structure, using Cu Kα.
Neutral-atom scattering factors, no anomalous dispersion.

a = 8.882 Å, b = 8.882 Å, c = 8.882 Å
α = 90.00°, β = 90.00°, γ = 90.00°
Positions (direct):
Sr 0.069 0.431 0.569
Sr 0.431 0.569 0.069
Sr 0.569 0.069 0.431
Sr 0.931 0.931 0.931
Ca 0.068 0.568 0.932
Ca 0.181 0.819 0.319
Ca 0.183 0.183 0.183
Ca 0.317 0.817 0.683
Ca 0.319 0.181 0.819
Ca 0.432 0.432 0.432
Ca 0.568 0.932 0.068
Ca 0.681 0.681 0.681
Ca 0.683 0.317 0.817
Ca 0.817 0.683 0.317
Ca 0.819 0.319 0.181
Ca 0.932 0.068 0.568
P 0.001 0.256 0.879
P 0.121 0.501 0.244
P 0.244 0.121 0.501
P 0.256 0.879 0.001
P 0.379 0.499 0.744
P 0.499 0.744 0.379
P 0.501 0.244 0.121
P 0.621 0.999 0.756
P 0.744 0.379 0.499
P 0.756 0.621 0.999
P 0.879 0.001 0.256
P 0.999 0.756 0.621

Largest 8 diffraction maxima, low angle first, 2θ from 5° to 70°:
- d 3.140, 2θ 28.42, intensity 11
- d 2.809, 2θ 31.86, intensity 100
- d 2.374, 2θ 37.90, intensity 63
- d 1.813, 2θ 50.33, intensity 17
- d 1.742, 2θ 52.54, intensity 28
- d 1.441, 2θ 64.69, intensity 19
- d 1.404, 2θ 66.59, intensity 10
- d 1.371, 2θ 68.46, intensity 12

---

The following is a simulated PXRD pattern of SmFeH6. It was derived from a GGA-PBE-relaxed structure, using Cu Kα.
Neutral-atom scattering factors, no anomalous dispersion.

a = 4.422 Å, b = 4.422 Å, c = 4.422 Å
α = 60.82°, β = 60.82°, γ = 60.82°
Positions (direct):
Sm 0.000 0.000 0.000
Fe 0.500 0.500 0.500
H 0.077 0.602 0.602
H 0.398 0.398 0.923
H 0.398 0.923 0.398
H 0.602 0.077 0.602
H 0.602 0.602 0.077
H 0.923 0.398 0.398

Largest 8 diffraction maxima, low angle first, 2θ from 5° to 70°:
- d 3.647, 2θ 24.40, intensity 25
- d 3.146, 2θ 28.37, intensity 100
- d 2.238, 2θ 40.30, intensity 38
- d 2.211, 2θ 40.82, intensity 39
- d 1.824, 2θ 50.01, intensity 21
- d 1.573, 2θ 58.70, intensity 12
- d 1.414, 2θ 66.09, intensity 18
- d 1.400, 2θ 66.83, intensity 17

---

The following is a simulated PXRD pattern of PmSbRh4. It was derived from a GGA-PBE-relaxed structure, using Cu Kα.
Neutral-atom scattering factors, no anomalous dispersion.

a = 5.342 Å, b = 5.342 Å, c = 5.342 Å
α = 60.00°, β = 60.00°, γ = 60.00°
Positions (direct):
Pm 0.000 0.000 0.000
Sb 0.250 0.250 0.250
Rh 0.128 0.624 0.624
Rh 0.624 0.128 0.624
Rh 0.624 0.624 0.128
Rh 0.624 0.624 0.624

Largest 8 diffraction maxima, low angle first, 2θ from 5° to 70°:
- d 4.362, 2θ 20.36, intensity 1
- d 3.778, 2θ 23.55, intensity 1
- d 2.671, 2θ 33.55, intensity 35
- d 2.278, 2θ 39.56, intensity 100
- d 2.181, 2θ 41.40, intensity 33
- d 1.889, 2θ 48.18, intensity 2
- d 1.542, 2θ 59.99, intensity 13
- d 1.454, 2θ 64.04, intensity 32

---

The following is a simulated PXRD pattern of LiLa5Cd6. It was derived from a GGA-PBE-relaxed structure, using Cu Kα.
Neutral-atom scattering factors, no anomalous dispersion.

a = 9.443 Å, b = 9.443 Å, c = 9.443 Å
α = 146.56°, β = 131.36°, γ = 60.31°
Positions (direct):
Li 0.000 0.000 0.000
La 0.176 0.676 0.500
La 0.335 0.335 0.000
La 0.500 0.000 0.500
La 0.665 0.665 0.000
La 0.824 0.324 0.500
Cd 0.073 0.847 0.226
Cd 0.218 0.500 0.718
Cd 0.378 0.153 0.226
Cd 0.622 0.847 0.774
Cd 0.782 0.500 0.282
Cd 0.927 0.153 0.774

Largest 8 diffraction maxima, low angle first, 2θ from 5° to 70°:
- d 2.734, 2θ 32.75, intensity 100
- d 2.719, 2θ 32.94, intensity 51
- d 1.944, 2θ 46.72, intensity 8
- d 1.923, 2θ 47.28, intensity 17
- d 1.582, 2θ 58.32, intensity 8
- d 1.581, 2θ 58.36, intensity 8
- d 1.573, 2θ 58.71, intensity 32
- d 1.367, 2θ 68.65, intensity 9

---

The following is a simulated PXRD pattern of CrFe2Pb. It was derived from a GGA-PBE-relaxed structure, using Cu Kα.
Neutral-atom scattering factors, no anomalous dispersion.

a = 5.067 Å, b = 5.067 Å, c = 5.067 Å
α = 142.88°, β = 129.34°, γ = 64.45°
Positions (direct):
Cr 0.000 0.000 0.000
Fe 0.235 0.735 0.500
Fe 0.765 0.265 0.500
Pb 0.500 0.500 0.000

Largest 8 diffraction maxima, low angle first, 2θ from 5° to 70°:
- d 4.286, 2θ 20.72, intensity 19
- d 3.869, 2θ 22.99, intensity 29
- d 3.019, 2θ 29.59, intensity 22
- d 2.386, 2θ 37.70, intensity 15
- d 2.215, 2θ 40.73, intensity 100
- d 2.168, 2θ 41.66, intensity 24
- d 2.142, 2θ 42.18, intensity 27
- d 1.524, 2θ 60.78, intensity 18